# Li3Ca2Bi2
Theoretical powder diffractogram, Cu Kα X-rays. Input: a GGA-PBE-relaxed structure.

Structural model:
```
data_Li3Ca2Bi2
_chemical_formula_sum 'Li6 Ca4 Bi4'
_symmetry_space_group_name_H-M 'C 1 2/m 1'
_symmetry_Int_Tables_number 12
_cell_length_a 11.133
_cell_length_b 4.855
_cell_length_c 6.956
_cell_angle_alpha 90.00
_cell_angle_beta 103.79
_cell_angle_gamma 90.00
loop_
_symmetry_equiv_pos_as_xyz
'x,y,z'
'-x,-y,-z'
'-x,y,-z'
'x,-y,z'
'x+1/2,y+1/2,z'
'-x+1/2,-y+1/2,-z'
'-x+1/2,y+1/2,-z'
'x+1/2,-y+1/2,z'
loop_
_atom_site_label
_atom_site_type_symbol
_atom_site_fract_x
_atom_site_fract_y
_atom_site_fract_z
Li1 Li 0.000 0.000 0.000
Li2 Li 0.123 0.000 0.435
Ca1 Ca 0.141 0.500 0.759
Bi1 Bi 0.156 0.500 0.237
```

Peak list (8 most intense, 10 to 80 degrees two-theta, sorted by position)
| d (Å) | Position (°2θ) | I (rel.) | h k l |
| --- | --- | --- | --- |
| 4.818 | 18.4 | 61.8 | 2 0 -1 |
| 4.429 | 20.0 | 91.4 | 1 1 0 |
| 3.882 | 22.9 | 78.1 | 1 1 -1 |
| 3.548 | 25.1 | 44.8 | 1 1 1 |
| 3.378 | 26.4 | 74.8 | 0 0 2 |
| 2.894 | 30.9 | 100.0 | 3 1 0 |
| 2.440 | 36.8 | 65.3 | 3 1 -2 |
| 2.016 | 45.0 | 50.7 | 3 1 2 |



# PmErCu2S4
Theoretical powder diffractogram, Cu Kα X-rays. Input: a GGA-PBE-relaxed structure.

Structural model:
```
data_PmErCu2S4
_chemical_formula_sum 'Pm2 Er2 Cu4 S8'
_symmetry_space_group_name_H-M 'I 2 2 2'
_symmetry_Int_Tables_number 23
_cell_length_a 6.487
_cell_length_b 6.627
_cell_length_c 7.639
_cell_angle_alpha 90.00
_cell_angle_beta 90.00
_cell_angle_gamma 90.00
loop_
_symmetry_equiv_pos_as_xyz
'x,y,z'
'-x,-y,z'
'x,-y,-z'
'-x,y,-z'
'x+1/2,y+1/2,z+1/2'
'-x+1/2,-y+1/2,z+1/2'
'x+1/2,-y+1/2,-z+1/2'
'-x+1/2,y+1/2,-z+1/2'
loop_
_atom_site_label
_atom_site_type_symbol
_atom_site_fract_x
_atom_site_fract_y
_atom_site_fract_z
Pm1 Pm 0.000 0.000 0.000
Er1 Er 0.000 0.000 0.500
Cu1 Cu 0.000 0.500 0.168
S1 S 0.246 0.226 0.308
```

Peak list (8 most intense, 10 to 80 degrees two-theta, sorted by position)
| d (Å) | Position (°2θ) | I (rel.) | h k l |
| --- | --- | --- | --- |
| 4.636 | 19.1 | 29.7 | 1 1 0 |
| 2.948 | 30.3 | 100.0 | 1 1 2 |
| 2.503 | 35.9 | 23.0 | 0 2 2 |
| 2.472 | 36.3 | 22.7 | 2 0 2 |
| 2.318 | 38.9 | 54.5 | 2 2 0 |
| 1.834 | 49.7 | 25.0 | 1 3 2 |
| 1.810 | 50.4 | 24.1 | 3 1 2 |
| 1.766 | 51.8 | 22.5 | 1 1 4 |



# In7Pd3
Theoretical powder diffractogram, Cu Kα X-rays. Input: a GGA-PBE-relaxed structure.

Structural model:
```
data_In7Pd3
_chemical_formula_sum 'In28 Pd12'
_symmetry_space_group_name_H-M 'I m -3 m'
_symmetry_Int_Tables_number 229
_symmetry_space_group_name_Hall '-I 4 2 3'
_cell_length_a 9.598
_cell_length_b 9.598
_cell_length_c 9.598
_cell_angle_alpha 90.00
_cell_angle_beta 90.00
_cell_angle_gamma 90.00
loop_
_atom_site_label
_atom_site_type_symbol
_atom_site_fract_x
_atom_site_fract_y
_atom_site_fract_z
In1 In 0.000 0.250 0.500
In2 In 0.162 0.162 0.162
Pd1 Pd 0.000 0.000 0.348
```

Peak list (8 most intense, 10 to 80 degrees two-theta, sorted by position)
| d (Å) | Position (°2θ) | I (rel.) | h k l |
| --- | --- | --- | --- |
| 3.035 | 29.4 | 26.6 | 3 1 0 |
| 2.771 | 32.3 | 39.2 | 2 2 2 |
| 2.565 | 35.0 | 40.6 | 3 2 1 |
| 2.262 | 39.8 | 100.0 | 3 3 0 |
| 1.959 | 46.3 | 18.3 | 4 2 2 |
| 1.600 | 57.6 | 19.2 | 6 0 0 |
| 1.481 | 62.7 | 14.0 | 5 4 1 |
| 1.306 | 72.3 | 35.0 | 6 3 3 |



# Dy2Al3Tc
Theoretical powder diffractogram, Cu Kα X-rays. Input: a GGA-PBE-relaxed structure.

Structural model:
```
data_Dy2Al3Tc
_chemical_formula_sum 'Dy6 Al9 Tc3'
_symmetry_space_group_name_H-M 'R -3 m'
_symmetry_Int_Tables_number 166
_symmetry_space_group_name_Hall '-R 3 2"'
_cell_length_a 5.5291
_cell_length_b 5.5291
_cell_length_c 13.2638
_cell_angle_alpha 90.00
_cell_angle_beta 90.00
_cell_angle_gamma 120.00
loop_
_atom_site_label
_atom_site_type_symbol
_atom_site_fract_x
_atom_site_fract_y
_atom_site_fract_z
Dy1 Dy 0.0000 0.0000 0.1278
Al1 Al 0.0000 0.5000 0.0000
Tc1 Tc 0.0000 0.0000 0.5000
```

Peak list (8 most intense, 10 to 80 degrees two-theta, sorted by position)
| d (Å) | Position (°2θ) | I (rel.) | h k l |
| --- | --- | --- | --- |
| 4.421 | 20.1 | 42.1 | 0 0 3 |
| 2.765 | 32.4 | 92.0 | 1 1 0 |
| 2.726 | 32.9 | 34.4 | 1 0 4 |
| 2.344 | 38.4 | 100.0 | 1 1 3 |
| 2.320 | 38.8 | 40.2 | 0 1 5 |
| 1.596 | 57.8 | 17.7 | 3 0 0 |
| 1.501 | 61.8 | 24.6 | 3 0 3 |
| 1.495 | 62.1 | 20.1 | 1 2 5 |



# TbNd5Tl2
Theoretical powder diffractogram, Cu Kα X-rays. Input: a GGA-PBE-relaxed structure.

Structural model:
```
data_TbNd5Tl2
_chemical_formula_sum 'Tb2 Nd10 Tl4'
_symmetry_space_group_name_H-M 'P 63/m m c'
_symmetry_Int_Tables_number 194
_symmetry_space_group_name_Hall '-P 6c 2c'
_cell_length_a 5.5818
_cell_length_b 5.5818
_cell_length_c 20.4149
_cell_angle_alpha 90.00
_cell_angle_beta 90.00
_cell_angle_gamma 120.00
loop_
_atom_site_label
_atom_site_type_symbol
_atom_site_fract_x
_atom_site_fract_y
_atom_site_fract_z
Tb1 Tb 0.3333 0.6667 0.2500
Nd1 Nd 0.0000 0.0000 0.1617
Nd2 Nd 0.3333 0.6667 0.5621
Nd3 Nd 0.3333 0.6667 0.7500
Tl1 Tl 0.3333 0.6667 0.0960
```

Peak list (8 most intense, 10 to 80 degrees two-theta, sorted by position)
| d (Å) | Position (°2θ) | I (rel.) | h k l |
| --- | --- | --- | --- |
| 3.402 | 26.2 | 11.2 | 0 0 6 |
| 2.791 | 32.1 | 100.0 | 1 1 0 |
| 2.782 | 32.2 | 61.5 | 1 0 6 |
| 2.497 | 36.0 | 15.6 | 1 0 7 |
| 2.158 | 41.9 | 19.5 | 1 1 6 |
| 1.970 | 46.1 | 22.9 | 2 0 6 |
| 1.610 | 57.2 | 43.5 | 3 0 0 |
| 1.395 | 67.1 | 12.3 | 2 2 0 |



# CeY3Er
Theoretical powder diffractogram, Cu Kα X-rays. Input: a GGA-PBE-relaxed structure.

Structural model:
```
data_CeY3Er
_chemical_formula_sum 'Ce8 Y24 Er8'
_symmetry_space_group_name_H-M 'I m m a'
_symmetry_Int_Tables_number 74
_symmetry_space_group_name_Hall '-I 2b 2'
_cell_length_a 5.019
_cell_length_b 25.211
_cell_length_c 10.005
_cell_angle_alpha 90.00
_cell_angle_beta 90.00
_cell_angle_gamma 90.00
loop_
_atom_site_label
_atom_site_type_symbol
_atom_site_fract_x
_atom_site_fract_y
_atom_site_fract_z
Ce1 Ce 0.000 0.049 0.129
Y1 Y 0.000 0.049 0.623
Y2 Y 0.000 0.150 0.374
Y3 Y 0.000 0.151 0.876
Er1 Er 0.000 0.250 0.125
Er2 Er 0.000 0.250 0.626
```

Peak list (8 most intense, 10 to 80 degrees two-theta, sorted by position)
| d (Å) | Position (°2θ) | I (rel.) | h k l |
| --- | --- | --- | --- |
| 2.899 | 30.8 | 100.0 | 1 5 2 |
| 2.521 | 35.6 | 17.2 | 0 10 0 |
| 2.509 | 35.8 | 16.7 | 2 0 0 |
| 2.501 | 35.9 | 16.5 | 0 0 4 |
| 1.777 | 51.4 | 23.4 | 2 10 0 |
| 1.519 | 61.0 | 13.9 | 1 15 2 |
| 1.513 | 61.2 | 13.8 | 3 5 2 |
| 1.510 | 61.4 | 13.6 | 1 5 6 |